Diffraction record for PaInFeO6. The X-ray diffraction stick pattern is calculated, not measured: it uses a cell relaxed with PBE+U and Cu Kα (weighted mean of Kα1 and Kα2).

Top 10 peaks for 15° ≤ 2θ ≤ 90°, most intense first:
- 27.15°, I = 100
- 34.29°, I = 34
- 51.89°, I = 33
- 44.27°, I = 27
- 57.16°, I = 26
- 19.60°, I = 20
- 61.40°, I = 11
- 78.77°, I = 10
- 61.85°, I = 10
- 82.86°, I = 9

Atomic structure:
```
PaInFeO6
1.0
5.231 0.000 0.000
-2.615 4.530 0.000
0.000 0.000 4.769
Pa In Fe O
1 1 1 6
Direct
0.000 0.000 0.000
0.333 0.667 0.500
0.667 0.333 0.500
0.359 0.035 0.732
0.359 0.324 0.268
0.676 0.035 0.268
0.676 0.641 0.732
0.965 0.324 0.732
0.965 0.641 0.268
```